No. 1
Structure and theoretical XRD peak list of AcPr3Nd8 (a structure optimized by DFT (PBE); λ = 1.5418 Å (Cu Kα)).
Neutral-atom scattering factors, no anomalous dispersion.

Largest 10 diffraction maxima, by angle, 2θ from 5° to 70°:
25.20 deg, intensity 40; 28.61 deg, intensity 100; 29.91 deg, intensity 59; 30.05 deg, intensity 40; 35.66 deg, intensity 26; 36.36 deg, intensity 24; 38.75 deg, intensity 25; 44.71 deg, intensity 19; 58.14 deg, intensity 22; 59.26 deg, intensity 19

Structure:
```
AcPr3Nd8
1.0
-3.243 4.377 7.790
3.243 -4.377 7.790
3.243 4.377 -7.790
Ac Pr Nd
1 3 8
Direct
0.000 0.000 0.000
0.387 0.887 0.500
0.500 0.500 0.000
0.613 0.113 0.500
0.069 0.294 0.567
0.080 0.059 0.696
0.272 0.706 0.775
0.362 0.383 0.304
0.638 0.941 0.021
0.728 0.503 0.433
0.920 0.617 0.979
0.931 0.497 0.225
```

No. 2
Structure and theoretical XRD peak list of NaBe2SeBr (a structure optimized by DFT (PBE); λ = 1.5418 Å (Cu Kα)).
Neutral-atom scattering factors, no anomalous dispersion.

Largest 10 diffraction maxima, by angle, 2θ from 5° to 70°:
18.15 deg, intensity 46; 23.39 deg, intensity 100; 29.77 deg, intensity 82; 33.32 deg, intensity 53; 36.78 deg, intensity 20; 38.20 deg, intensity 29; 44.05 deg, intensity 37; 50.46 deg, intensity 31; 57.37 deg, intensity 24; 67.05 deg, intensity 20

Structure:
```
NaBe2SeBr
1.0
5.378 0.000 0.000
0.000 5.378 0.000
0.000 0.000 4.888
Na Be Se Br
1 2 1 1
Direct
0.000 0.000 0.000
0.000 0.500 0.000
0.500 0.000 0.000
0.500 0.500 0.500
0.000 0.000 0.500
```